# 1
This entry pairs a crystal structure of PaCo2H8Pd with its theoretical powder diffractogram. Radiation: Cu Kα. Structure: a crystal structure in Alexandria, relaxed with PBE.
Neutral-atom scattering factors, no anomalous dispersion.

Crystal structure
Cell lengths 4.4942, 4.4942, 6.1313 Å; angles 90.00, 90.00, 120.00 degrees
Positions (direct):
1 Pa 0.0000 0.0000 0.0000
2 Co 0.3333 0.6667 0.1310
3 Co 0.6667 0.3333 0.8690
4 H 0.1767 0.3534 0.3149
5 H 0.1767 0.8233 0.3149
6 H 0.3333 0.6667 0.8776
7 H 0.3534 0.1767 0.6851
8 H 0.6466 0.8233 0.3149
9 H 0.6667 0.3333 0.1224
10 H 0.8233 0.1767 0.6851
11 H 0.8233 0.6466 0.6851
12 Pd 0.0000 0.0000 0.5000

Most intense lines, 15° ≤ 2θ ≤ 90°, low angle first:
| Position (°2θ) | I_rel |
| --- | --- |
| 22.85 | 100 |
| 27.14 | 21 |
| 29.13 | 25 |
| 37.34 | 98 |
| 40.13 | 67 |
| 42.86 | 22 |
| 50.37 | 47 |
| 55.97 | 31 |
| 65.44 | 24 |
| 71.08 | 30 |



# 2
This entry pairs a crystal structure of Dy3Er8Sc2 with its theoretical powder diffractogram. Radiation: Cu Kα. Structure: a crystal structure in Alexandria, relaxed with PBE.
Neutral-atom scattering factors, no anomalous dispersion.

Crystal structure
Cell lengths 8.5658, 8.5658, 6.6319 Å; angles 106.23, 106.23, 63.43 degrees
Positions (direct):
1 Dy 0.0000 0.0000 0.0000
2 Dy 0.1716 0.8284 0.5000
3 Dy 0.8284 0.1716 0.5000
4 Er 0.1909 0.1909 0.8959
5 Er 0.1992 0.5611 0.8087
6 Er 0.4100 0.4100 0.2774
7 Er 0.4389 0.8008 0.1913
8 Er 0.5611 0.1992 0.8087
9 Er 0.5900 0.5900 0.7226
10 Er 0.8008 0.4389 0.1913
11 Er 0.8091 0.8091 0.1041
12 Sc 0.2045 0.2045 0.4229
13 Sc 0.7955 0.7955 0.5771

Most intense lines, 15° ≤ 2θ ≤ 90°, low angle first:
| Position (°2θ) | I_rel |
| --- | --- |
| 25.30 | 44 |
| 29.79 | 71 |
| 31.69 | 93 |
| 32.79 | 87 |
| 32.89 | 100 |
| 34.06 | 82 |
| 35.74 | 36 |
| 36.05 | 44 |
| 60.79 | 26 |
| 61.51 | 25 |



# 3
This entry pairs a crystal structure of CsLiPrI4 with its theoretical powder diffractogram. Radiation: Cu Kα. Structure: a crystal structure in Alexandria, relaxed with PBE.
Neutral-atom scattering factors, no anomalous dispersion.

Crystal structure
Cell lengths 6.3718, 8.0626, 12.5609 Å; angles 90.00, 103.90, 90.00 degrees
Positions (direct):
1 Cs 0.2020 0.2500 0.3856
2 Cs 0.7980 0.7500 0.6144
3 Li 0.0678 0.2500 0.7636
4 Li 0.9322 0.7500 0.2364
5 Pr 0.4843 0.7500 0.0002
6 Pr 0.5157 0.2500 0.9998
7 I 0.0070 0.2500 0.9818
8 I 0.2106 0.7500 0.4305
9 I 0.3823 0.5029 0.7916
10 I 0.3823 0.9971 0.7916
11 I 0.6177 0.0029 0.2084
12 I 0.6177 0.4971 0.2084
13 I 0.7894 0.2500 0.5695
14 I 0.9930 0.7500 0.0182

Most intense lines, 15° ≤ 2θ ≤ 90°, low angle first:
| Position (°2θ) | I_rel |
| --- | --- |
| 22.81 | 48 |
| 23.12 | 46 |
| 26.42 | 40 |
| 26.51 | 100 |
| 28.01 | 76 |
| 31.25 | 45 |
| 36.84 | 37 |
| 38.79 | 41 |
| 39.10 | 31 |
| 53.82 | 26 |



# 4
This entry pairs a crystal structure of TaTi3Te8 with its theoretical powder diffractogram. Radiation: Cu Kα. Structure: a crystal structure in Alexandria, relaxed with PBE.
Neutral-atom scattering factors, no anomalous dispersion.

Crystal structure
Cell lengths 7.4868, 7.4868, 8.5193 Å; angles 116.46, 116.46, 59.97 degrees
Positions (direct):
1 Ta 0.0000 0.0000 0.0000
2 Ti 0.0000 0.5000 0.0000
3 Ti 0.5000 0.0000 0.0000
4 Ti 0.5000 0.5000 0.0000
5 Te 0.2496 0.2496 0.2417
6 Te 0.2497 0.7454 0.2416
7 Te 0.2525 0.2525 0.7608
8 Te 0.2546 0.7503 0.7584
9 Te 0.7454 0.2497 0.2416
10 Te 0.7475 0.7475 0.2392
11 Te 0.7503 0.2546 0.7584
12 Te 0.7504 0.7504 0.7583

Most intense lines, 15° ≤ 2θ ≤ 90°, low angle first:
| Position (°2θ) | I_rel |
| --- | --- |
| 24.37 | 26 |
| 28.65 | 17 |
| 28.76 | 35 |
| 32.03 | 100 |
| 32.19 | 50 |
| 43.05 | 22 |
| 43.33 | 43 |
| 48.65 | 46 |
| 49.93 | 14 |
| 59.56 | 17 |



# 5
This entry pairs a crystal structure of SrFe2Br with its theoretical powder diffractogram. Radiation: Cu Kα. Structure: a crystal structure in Alexandria, relaxed with PBE.
Neutral-atom scattering factors, no anomalous dispersion.

Crystal structure
Cell lengths 3.4255, 3.4255, 7.9987 Å; angles 90.00, 90.00, 90.00 degrees
Positions (direct):
1 Sr 0.0000 0.0000 0.0000
2 Fe 0.0000 0.0000 0.6124
3 Fe 0.5000 0.5000 0.7049
4 Br 0.5000 0.5000 0.2362

Most intense lines, 15° ≤ 2θ ≤ 90°, low angle first:
| Position (°2θ) | I_rel |
| --- | --- |
| 22.23 | 18 |
| 28.34 | 22 |
| 33.61 | 15 |
| 34.47 | 100 |
| 37.12 | 65 |
| 42.99 | 10 |
| 43.69 | 11 |
| 50.93 | 17 |
| 53.50 | 22 |
| 65.22 | 29 |



# 6
This entry pairs a crystal structure of Tb2Cd16Bi with its theoretical powder diffractogram. Radiation: Cu Kα. Structure: a crystal structure in Alexandria, relaxed with PBE.
Neutral-atom scattering factors, no anomalous dispersion.

Crystal structure
Cell lengths 7.6893, 7.6893, 7.6893 Å; angles 84.15, 84.15, 84.15 degrees
Positions (direct):
1 Tb 0.0000 0.0000 0.0000
2 Tb 0.3283 0.3283 0.3283
3 Cd 0.0131 0.0131 0.5022
4 Cd 0.0131 0.5022 0.0131
5 Cd 0.1861 0.6465 0.6465
6 Cd 0.3103 0.3103 0.8525
7 Cd 0.3103 0.8525 0.3103
8 Cd 0.3421 0.6697 0.9818
9 Cd 0.3421 0.9818 0.6697
10 Cd 0.5022 0.0131 0.0131
11 Cd 0.5604 0.5604 0.5604
12 Cd 0.6465 0.1861 0.6465
13 Cd 0.6465 0.6465 0.1861
14 Cd 0.6697 0.3421 0.9818
15 Cd 0.6697 0.9818 0.3421
16 Cd 0.8525 0.3103 0.3103
17 Cd 0.9818 0.3421 0.6697
18 Cd 0.9818 0.6697 0.3421
19 Bi 0.7727 0.7727 0.7727

Most intense lines, 15° ≤ 2θ ≤ 90°, low angle first:
| Position (°2θ) | I_rel |
| --- | --- |
| 30.04 | 48 |
| 31.65 | 20 |
| 34.82 | 56 |
| 35.35 | 100 |
| 36.25 | 17 |
| 36.91 | 31 |
| 39.57 | 61 |
| 56.84 | 17 |
| 62.44 | 27 |
| 65.49 | 28 |



# 7
This entry pairs a crystal structure of Zr4GaRh with its theoretical powder diffractogram. Radiation: Cu Kα. Structure: a crystal structure in Alexandria, relaxed with PBE.
Neutral-atom scattering factors, no anomalous dispersion.

Crystal structure
Cell lengths 7.3473, 7.3473, 7.3473 Å; angles 126.69, 126.69, 78.76 degrees
Positions (direct):
1 Zr 0.0240 0.5240 0.8230
2 Zr 0.2010 0.0240 0.5000
3 Zr 0.2990 0.7990 0.8230
4 Zr 0.4760 0.2990 0.5000
5 Zr 0.5240 0.7010 0.5000
6 Zr 0.7010 0.2010 0.1770
7 Zr 0.7990 0.9760 0.5000
8 Zr 0.9760 0.4760 0.1770
9 Ga 0.2500 0.2500 0.0000
10 Ga 0.7500 0.7500 0.0000
11 Rh 0.0000 0.0000 0.0000
12 Rh 0.5000 0.5000 0.0000

Most intense lines, 15° ≤ 2θ ≤ 90°, low angle first:
| Position (°2θ) | I_rel |
| --- | --- |
| 31.35 | 86 |
| 37.07 | 59 |
| 38.69 | 100 |
| 42.00 | 60 |
| 43.41 | 68 |
| 63.10 | 26 |
| 65.48 | 21 |
| 65.71 | 28 |
| 68.88 | 33 |
| 82.14 | 16 |



# 8
This entry pairs a crystal structure of La2ScInRu with its theoretical powder diffractogram. Radiation: Cu Kα. Structure: a crystal structure in Alexandria, relaxed with PBE.
Neutral-atom scattering factors, no anomalous dispersion.

Crystal structure
Cell lengths 5.4685, 5.4685, 5.0686 Å; angles 90.00, 90.00, 90.00 degrees
Positions (direct):
1 La 0.0000 0.5000 0.0000
2 La 0.5000 0.0000 0.0000
3 Sc 0.0000 0.0000 0.5000
4 In 0.5000 0.5000 0.5000
5 Ru 0.0000 0.0000 0.0000

Most intense lines, 15° ≤ 2θ ≤ 90°, low angle first:
| Position (°2θ) | I_rel |
| --- | --- |
| 17.50 | 36 |
| 23.94 | 45 |
| 29.05 | 100 |
| 32.75 | 96 |
| 35.42 | 39 |
| 47.00 | 34 |
| 49.01 | 61 |
| 56.20 | 30 |
| 60.20 | 32 |
| 88.86 | 22 |



# 9
This entry pairs a crystal structure of NaUCuN3 with its theoretical powder diffractogram. Radiation: Cu Kα. Structure: a crystal structure in Alexandria, relaxed with PBE.
Neutral-atom scattering factors, no anomalous dispersion.

Crystal structure
Cell lengths 6.7455, 3.5314, 8.9651 Å; angles 90.00, 109.93, 90.00 degrees
Positions (direct):
1 Na 0.1974 0.2500 0.1604
2 Na 0.8026 0.7500 0.8396
3 U 0.3020 0.7500 0.8528
4 U 0.6980 0.2500 0.1472
5 Cu 0.0133 0.2500 0.6131
6 Cu 0.9867 0.7500 0.3869
7 N 0.1046 0.2500 0.8508
8 N 0.1580 0.7500 0.6053
9 N 0.4724 0.7500 0.1103
10 N 0.5276 0.2500 0.8897
11 N 0.8420 0.2500 0.3947
12 N 0.8954 0.7500 0.1492

Most intense lines, 15° ≤ 2θ ≤ 90°, low angle first:
| Position (°2θ) | I_rel |
| --- | --- |
| 20.96 | 40 |
| 27.38 | 39 |
| 28.92 | 100 |
| 32.52 | 49 |
| 33.09 | 86 |
| 33.42 | 35 |
| 36.87 | 91 |
| 39.64 | 41 |
| 48.49 | 33 |
| 50.20 | 33 |



# 10
This entry pairs a crystal structure of Dy3Y2Tl4 with its theoretical powder diffractogram. Radiation: Cu Kα. Structure: a crystal structure in Alexandria, relaxed with PBE.
Neutral-atom scattering factors, no anomalous dispersion.

Crystal structure
Cell lengths 5.2722, 5.2722, 10.4968 Å; angles 90.04, 90.04, 60.04 degrees
Positions (direct):
1 Dy 0.0000 0.0000 0.0000
2 Dy 0.3334 0.3334 0.5751
3 Dy 0.6666 0.6666 0.4249
4 Y 0.3333 0.3333 0.2239
5 Y 0.6667 0.6667 0.7761
6 Tl 0.0000 0.0000 0.3452
7 Tl 0.0000 0.0000 0.6548
8 Tl 0.3334 0.3334 0.8970
9 Tl 0.6666 0.6666 0.1030

Most intense lines, 15° ≤ 2θ ≤ 90°, low angle first:
| Position (°2θ) | I_rel |
| --- | --- |
| 21.22 | 11 |
| 32.23 | 100 |
| 34.00 | 91 |
| 47.55 | 34 |
| 56.31 | 20 |
| 59.74 | 35 |
| 60.85 | 17 |
| 67.44 | 11 |
| 77.72 | 15 |
| 80.68 | 15 |



# 11
This entry pairs a crystal structure of Zr7P6 with its theoretical powder diffractogram. Radiation: Cu Kα. Structure: a crystal structure in Alexandria, relaxed with PBE.
Neutral-atom scattering factors, no anomalous dispersion.

Crystal structure
Cell lengths 9.5750, 9.5750, 9.5750 Å; angles 36.78, 36.78, 36.78 degrees
Positions (direct):
1 Zr 0.0000 0.0000 0.0000
2 Zr 0.0715 0.0715 0.5704
3 Zr 0.0715 0.5704 0.0715
4 Zr 0.4296 0.9285 0.9285
5 Zr 0.5704 0.0715 0.0715
6 Zr 0.9285 0.4296 0.9285
7 Zr 0.9285 0.9285 0.4296
8 P 0.1671 0.1671 0.1671
9 P 0.3132 0.3132 0.3132
10 P 0.4546 0.4546 0.4546
11 P 0.5454 0.5454 0.5454
12 P 0.6868 0.6868 0.6868
13 P 0.8329 0.8329 0.8329

Most intense lines, 15° ≤ 2θ ≤ 90°, low angle first:
| Position (°2θ) | I_rel |
| --- | --- |
| 17.27 | 79 |
| 19.91 | 42 |
| 30.06 | 34 |
| 34.45 | 71 |
| 34.95 | 56 |
| 35.91 | 75 |
| 38.30 | 40 |
| 41.85 | 100 |
| 43.94 | 48 |
| 61.38 | 40 |